No. 1
Starting from DFT lattice parameters and positions (GGA-PBE), the powder XRD pattern of KMg14AlO16 was simulated for Cu Kα (weighted mean of Kα1 and Kα2).
No peak broadening, texture or thermal motion is included.

Cell and atoms:
```
KMg14AlO16
1.0
4.379 0.000 0.000
0.000 8.508 0.000
0.000 0.000 8.603
K Mg Al O
1 14 1 16
Direct
0.000 0.000 0.000 K
0.000 0.000 0.500 Mg
0.000 0.248 0.253 Mg
0.000 0.248 0.747 Mg
0.000 0.500 0.500 Mg
0.000 0.752 0.253 Mg
0.000 0.752 0.747 Mg
0.500 0.000 0.252 Mg
0.500 0.000 0.748 Mg
0.500 0.248 0.000 Mg
0.500 0.248 0.500 Mg
0.500 0.500 0.250 Mg
0.500 0.500 0.750 Mg
0.500 0.752 0.000 Mg
0.500 0.752 0.500 Mg
0.000 0.500 0.000 Al
0.000 0.000 0.275 O
0.000 0.000 0.725 O
0.000 0.259 0.500 O
0.000 0.288 0.000 O
0.000 0.500 0.238 O
0.000 0.500 0.762 O
0.000 0.712 0.000 O
0.000 0.741 0.500 O
0.500 0.000 0.000 O
0.500 0.000 0.500 O
0.500 0.251 0.249 O
0.500 0.251 0.751 O
0.500 0.500 0.000 O
0.500 0.500 0.500 O
0.500 0.749 0.249 O
0.500 0.749 0.751 O
```

Peak list (10 most intense, 5 to 70 degrees two-theta, sorted by position)
- (0 0 3), 31.13 deg, I = 1
- (1 2 2), 36.09 deg, I = 36
- (1 3 0), 37.80 deg, I = 1
- (2 0 0), 41.23 deg, I = 100
- (0 0 4), 42.01 deg, I = 92
- (0 4 0), 42.50 deg, I = 87
- (1 3 2), 43.45 deg, I = 2
- (2 0 4), 60.32 deg, I = 54
- (2 4 0), 60.70 deg, I = 52
- (0 4 4), 61.30 deg, I = 49

=====

No. 2
Starting from DFT lattice parameters and positions (GGA-PBE), the powder XRD pattern of KMg3AlSi3O12 was simulated for Cu Kα (weighted mean of Kα1 and Kα2).
No peak broadening, texture or thermal motion is included.

Cell and atoms:
```
KMg3AlSi3O12
1.0
5.379 0.000 0.000
2.654 4.713 0.000
1.685 0.143 10.124
K Mg Al Si O
1 3 1 3 12
Direct
0.000 0.000 0.000 K
0.186 0.653 0.473 Mg
0.517 0.997 0.476 Mg
0.830 0.352 0.475 Mg
0.262 0.328 0.205 Al
0.417 0.334 0.755 Si
0.600 0.666 0.199 Si
0.749 0.668 0.755 Si
0.066 0.501 0.812 O
0.128 0.007 0.563 O
0.212 0.329 0.380 O
0.452 0.508 0.142 O
0.458 0.989 0.140 O
0.464 0.341 0.595 O
0.554 0.665 0.363 O
0.566 0.498 0.815 O
0.566 0.999 0.812 O
0.792 0.670 0.595 O
0.885 0.001 0.391 O
0.939 0.505 0.139 O
```

Peak list (10 most intense, 5 to 70 degrees two-theta, sorted by position)
- (0 0 1), 8.73 deg, I = 100
- (1 0 2), 24.14 deg, I = 73
- (0 1 2), 25.65 deg, I = 51
- (0 1 -2), 26.02 deg, I = 43
- (0 0 3), 26.41 deg, I = 89
- (1 0 -2), 27.79 deg, I = 44
- (1 1 -2), 28.08 deg, I = 46
- (1 -1 1), 33.53 deg, I = 49
- (2 1 -1), 36.40 deg, I = 74
- (1 2 5), 54.02 deg, I = 55

=====

No. 3
Starting from DFT lattice parameters and positions (GGA-PBE), the powder XRD pattern of KMg4Al9Si9O36 was simulated for Cu Kα (weighted mean of Kα1 and Kα2).
No peak broadening, texture or thermal motion is included.

Cell and atoms:
```
KMg4Al9Si9O36
1.0
9.507 0.000 0.000
0.003 9.859 0.000
0.002 4.892 8.592
K Mg Al Si O
1 4 9 9 36
Direct
0.000 0.000 0.000 K
0.414 0.338 0.314 Mg
0.414 0.670 0.659 Mg
0.916 0.338 0.313 Mg
0.916 0.670 0.659 Mg
0.165 0.120 0.254 Al
0.165 0.634 0.098 Al
0.414 0.506 0.488 Al
0.415 0.501 0.993 Al
0.417 0.005 0.489 Al
0.665 0.261 0.099 Al
0.913 0.005 0.487 Al
0.915 0.501 0.993 Al
0.916 0.505 0.488 Al
0.163 0.739 0.369 Si
0.164 0.272 0.613 Si
0.164 0.382 0.877 Si
0.164 0.900 0.721 Si
0.665 0.106 0.624 Si
0.665 0.377 0.722 Si
0.665 0.628 0.256 Si
0.665 0.736 0.886 Si
0.665 0.888 0.370 Si
0.015 0.146 0.341 O
0.016 0.520 0.128 O
0.022 0.349 0.508 O
0.023 0.493 0.847 O
0.023 0.870 0.641 O
0.024 0.653 0.483 O
0.158 0.234 0.050 O
0.158 0.705 0.227 O
0.158 0.793 0.906 O
0.158 0.924 0.301 O
0.161 0.084 0.684 O
0.161 0.310 0.758 O
0.305 0.655 0.480 O
0.306 0.491 0.848 O
0.306 0.870 0.643 O
0.308 0.348 0.509 O
0.313 0.520 0.128 O
0.314 0.146 0.342 O
0.519 0.351 0.128 O
0.523 0.521 0.334 O
0.523 0.660 0.854 O
0.524 0.135 0.518 O
0.524 0.487 0.640 O
0.524 0.858 0.481 O
0.667 0.233 0.684 O
0.667 0.703 0.067 O
0.667 0.767 0.300 O
0.667 0.926 0.771 O
0.668 0.061 0.227 O
0.668 0.306 0.905 O
0.805 0.487 0.640 O
0.805 0.858 0.482 O
0.806 0.134 0.518 O
0.807 0.521 0.334 O
0.807 0.660 0.854 O
0.811 0.350 0.128 O
```

Peak list (10 most intense, 5 to 70 degrees two-theta, sorted by position)
- (0 0 1), 10.33 deg, I = 100
- (2 0 0), 18.67 deg, I = 13
- (2 1 1), 21.38 deg, I = 46
- (2 1 -1), 26.00 deg, I = 73
- (2 2 0), 28.02 deg, I = 52
- (-2 2 2), 28.10 deg, I = 30
- (1 1 3), 29.08 deg, I = 54
- (1 3 2), 29.21 deg, I = 51
- (4 2 -2), 53.37 deg, I = 12
- (4 4 2), 53.52 deg, I = 20